The following is a simulated XRD peak list of TbGd2Sn4Pb3. It was derived from the GGA-PBE geometry in OQMD, using Cu Kα.
No peak broadening, texture or thermal motion is included.

The 6 most intense peaks (10 to 90 degrees two-theta), most intense first:
| index | Position (°2θ) | I (rel.) |
| --- | --- | --- |
| 1 5 1 | 32.4 | 100 |
| 0 10 0 | 34.7 | 19 |
| 0 0 2 | 38.3 | 17 |
| 2 0 0 | 39.6 | 15 |
| 1 5 3 | 65.6 | 14 |
| 3 5 1 | 67.3 | 13 |

Structural model:
```
data_TbGd2Sn4Pb3
_cell_length_a 4.552
_cell_length_b 25.859
_cell_length_c 4.699
_cell_angle_alpha 90.00
_cell_angle_beta 90.00
_cell_angle_gamma 90.00
_symmetry_space_group_name_H-M 'C m m m'
_symmetry_Int_Tables_number 65
_symmetry_space_group_name_Hall '-C 2 2'
loop_
_atom_site_label
_atom_site_fract_x
_atom_site_fract_y
_atom_site_fract_z
_atom_site_occupancy
Tb1 0.000 0.000 0.000 1
Gd1 0.000 0.189 0.000 1
Sn1 0.000 0.290 0.500 1
Sn2 0.000 0.403 0.000 1
Pb1 0.000 0.099 0.500 1
Pb2 0.000 0.500 0.500 1
```